Computed X-ray diffraction stick pattern
Compound: Ba2NaCu3S5
Radiation: CuKα
Structure: a cell relaxed with PBE
Intensities are scaled so that the largest is 100.

Largest 8 diffraction maxima, low angle first, 2θ = 10–90°:
2θ = 23.48°, intensity 65, hkl 3 1 -1; 2θ = 30.08°, intensity 73, hkl 3 1 2; 2θ = 32.80°, intensity 62, hkl 3 1 -3; 2θ = 34.69°, intensity 57, hkl 6 0 -2; 2θ = 35.04°, intensity 42, hkl 6 0 1; 2θ = 36.66°, intensity 100, hkl 0 2 2; 2θ = 46.35°, intensity 48, hkl 6 2 -1; 2θ = 46.44°, intensity 35, hkl 6 2 0

Structural model:
```
data_Ba2NaCu3S5
_chemical_formula_sum 'Ba8 Na4 Cu12 S20'
_cell_length_a 16.6581
_cell_length_b 5.5697
_cell_length_c 10.4442
_cell_angle_alpha 90.00
_cell_angle_beta 98.51
_cell_angle_gamma 90.00
_symmetry_space_group_name_H-M 'C 1 2/m 1'
_symmetry_Int_Tables_number 12
loop_
_symmetry_equiv_pos_as_xyz
'x,y,z'
'-x,-y,-z'
'-x,y,-z'
'x,-y,z'
'x+1/2,y+1/2,z'
'-x+1/2,-y+1/2,-z'
'-x+1/2,y+1/2,-z'
'x+1/2,-y+1/2,z'
loop_
_atom_site_label
_atom_site_fract_x
_atom_site_fract_y
_atom_site_fract_z
_atom_site_occupancy
Ba1 0.0421 0.0000 0.2111 1
Ba2 0.2373 0.5000 0.1997 1
Na1 0.1057 0.5000 0.7336 1
Cu1 0.0000 0.2653 0.5000 1
Cu2 0.1693 0.2578 0.4911 1
S1 0.0705 0.5000 0.3543 1
S2 0.0971 0.0000 0.6180 1
S3 0.1240 0.1901 0.9696 1
S4 0.2388 0.0000 0.3559 1
```

Computed X-ray diffraction stick pattern
Compound: BaNbCu
Radiation: CuKα
Structure: a cell relaxed with PBE
Intensities are scaled so that the largest is 100.

Largest 8 diffraction maxima, low angle first, 2θ = 10–90°:
2θ = 24.30°, intensity 53, hkl 0 1 1; 2θ = 24.68°, intensity 91, hkl 0 0 3; 2θ = 24.80°, intensity 41, hkl 0 1 -2; 2θ = 26.62°, intensity 41, hkl 1 0 1; 2θ = 36.45°, intensity 90, hkl -1 1 3; 2θ = 36.57°, intensity 48, hkl 1 0 3; 2θ = 39.39°, intensity 100, hkl 1 1 -1; 2θ = 45.25°, intensity 38, hkl 2 -1 0

Structural model:
```
data_BaNbCu
_chemical_formula_sum 'Ba2 Nb2 Cu2'
_cell_length_a 4.0084
_cell_length_b 4.6465
_cell_length_c 10.9804
_cell_angle_alpha 98.61
_cell_angle_beta 90.29
_cell_angle_gamma 115.48
_symmetry_space_group_name_H-M 'P 1'
_symmetry_Int_Tables_number 1
loop_
_symmetry_equiv_pos_as_xyz
'x,y,z'
loop_
_atom_site_label
_atom_site_fract_x
_atom_site_fract_y
_atom_site_fract_z
_atom_site_occupancy
Ba1 0.0000 0.0000 0.0000 1
Ba2 0.2069 0.3938 0.6382 1
Nb1 0.3593 0.7091 0.2247 1
Nb2 0.7667 0.5202 0.3634 1
Cu1 0.0636 0.1154 0.3102 1
Cu2 0.4824 0.9499 0.4549 1
```